Theoretical PXRD pattern of SrCe3V4O16 for λ = 1.5418 Å (Cu Kα), from a structure optimized by DFT (PBE+U).
Peak positions follow from Bragg's law for the DFT cell and can differ from measured ones.

Crystal structure
Unit cell a=7.411 b=7.411 c=6.524 alpha=90.00 beta=90.00 gamma=90.00
Atoms (fractional coordinates):
Sr 0.000 0.000 0.000
Ce 0.000 0.500 0.751
Ce 0.500 0.000 0.249
Ce 0.500 0.500 0.500
V 0.000 0.000 0.500
V 0.000 0.500 0.252
V 0.500 0.000 0.748
V 0.500 0.500 0.000
O 0.000 0.188 0.661
O 0.000 0.327 0.077
O 0.000 0.673 0.077
O 0.000 0.812 0.661
O 0.183 0.500 0.425
O 0.188 0.000 0.339
O 0.320 0.500 0.827
O 0.327 0.000 0.923
O 0.500 0.183 0.575
O 0.500 0.320 0.173
O 0.500 0.680 0.173
O 0.500 0.817 0.575
O 0.673 0.000 0.923
O 0.680 0.500 0.827
O 0.812 0.000 0.339
O 0.817 0.500 0.425

Top 12 peaks for 10 to 80 degrees two-theta, most intense first:
| two_theta | intensity |
| --- | --- |
| 24.0 | 100 |
| 32.3 | 67 |
| 47.8 | 58 |
| 18.1 | 26 |
| 34.2 | 20 |
| 60.1 | 17 |
| 49.2 | 16 |
| 39.0 | 13 |
| 71.0 | 13 |
| 67.7 | 13 |
| 55.4 | 13 |
| 62.2 | 12 |